# Ac6BiAs3Se2
Calculated PXRD pattern, Cu Kα. Input: the GGA-PBE geometry in Alexandria.

Structural model:
Unit cell a=20.0114 b=4.5783 c=9.1824 alpha=90.00 beta=103.71 gamma=90.00
Space group C2/m (No. 12)
Asymmetric unit:
Ac (0.0013, 0.0000, 0.2365)
Ac (0.1645, 0.5000, 0.0884)
Ac (0.1719, 0.5000, 0.5787)
Bi (0.0000, 0.5000, 0.5000)
As (0.0000, 0.5000, 0.0000)
As (0.1663, 0.0000, 0.3302)
Se (0.1689, 0.0000, 0.8362)

Most intense lines, 2θ = 10–90°, most intense first:
(hkl), 2θ/deg, I/Imax
6 0 0, 27.52, 100.0
0 2 0, 39.41, 39.2
7 1 -2, 39.22, 38.4
6 2 0, 48.74, 21.3
3 1 0, 23.81, 19.7
8 2 -4, 64.13, 17.7
2 2 -4, 56.81, 13.2
1 3 -2, 64.37, 12.5
2 2 2, 46.50, 9.1
5 3 2, 71.41, 9.1